Record 1
Theoretical powder X-ray diffraction pattern
Compound: LaPm2Hg7
Radiation: Cu Ka
Structure: a cell relaxed with PBE
Kinematic intensities with the Lorentz-polarization factor, no thermal factor.

Largest 10 diffraction maxima, in order of falling intensity, 2θ = 10–80°:
35.12 deg, I = 1000; 35.64 deg, I = 845; 29.77 deg, I = 382; 63.35 deg, I = 324; 50.91 deg, I = 311; 63.01 deg, I = 187; 74.23 deg, I = 117; 46.69 deg, I = 113; 59.74 deg, I = 110; 56.53 deg, I = 105

Cell lengths 5.110, 5.110, 12.254 Å; angles 90.00, 90.00, 120.00 degrees
Sites, in units of the cell vectors:
La1 0.000 0.000 0.000
Pm1 0.333 0.667 0.678
Pm2 0.667 0.333 0.365
Hg1 0.000 0.000 0.275
Hg2 0.000 0.000 0.551
Hg3 0.333 0.667 0.179
Hg4 0.333 0.667 0.434
Hg5 0.333 0.667 0.922
Hg6 0.667 0.333 0.098
Hg7 0.667 0.333 0.811

---

Record 2
Theoretical powder X-ray diffraction pattern
Compound: K5Rb3Cd
Radiation: Cu Ka
Structure: a cell relaxed with PBE
Kinematic intensities with the Lorentz-polarization factor, no thermal factor.

Largest 10 diffraction maxima, in order of falling intensity, 2θ = 10–80°:
22.70 deg, I = 1000; 26.02 deg, I = 782; 24.32 deg, I = 703; 28.66 deg, I = 550; 42.07 deg, I = 385; 43.62 deg, I = 368; 22.90 deg, I = 319; 14.94 deg, I = 310; 31.25 deg, I = 289; 34.39 deg, I = 217

Cell lengths 11.862, 11.862, 5.216 Å; angles 90.00, 90.00, 120.00 degrees
Sites, in units of the cell vectors:
K1 0.000 0.234 0.000
K2 0.234 0.000 0.000
K3 0.333 0.667 0.000
K4 0.667 0.333 0.000
K5 0.766 0.766 0.000
Rb1 0.000 0.631 0.500
Rb2 0.369 0.369 0.500
Rb3 0.631 0.000 0.500
Cd1 0.000 0.000 0.500

---

Record 3
Theoretical powder X-ray diffraction pattern
Compound: Tl2ZnF4
Radiation: Cu Ka
Structure: a cell relaxed with PBE
Kinematic intensities with the Lorentz-polarization factor, no thermal factor.

Largest 10 diffraction maxima, in order of falling intensity, 2θ = 10–80°:
28.24 deg, I = 1000; 30.58 deg, I = 558; 52.93 deg, I = 387; 39.38 deg, I = 270; 43.79 deg, I = 264; 22.34 deg, I = 210; 48.48 deg, I = 186; 36.68 deg, I = 145; 24.22 deg, I = 144; 58.41 deg, I = 139

Cell lengths 15.269, 15.269, 15.269 Å; angles 157.92, 157.92, 31.42 degrees
Sites, in units of the cell vectors:
Tl1 0.051 0.301 0.750
Tl2 0.199 0.449 0.750
Tl3 0.301 0.051 0.250
Tl4 0.449 0.199 0.250
Tl5 0.551 0.801 0.750
Tl6 0.699 0.949 0.750
Tl7 0.801 0.551 0.250
Tl8 0.949 0.699 0.250
Zn1 0.125 0.875 0.250
Zn2 0.375 0.625 0.750
Zn3 0.625 0.375 0.250
Zn4 0.875 0.125 0.750
F1 0.056 0.806 0.250
F2 0.078 0.828 0.657
F3 0.172 0.328 0.250
F4 0.194 0.944 0.250
F5 0.306 0.556 0.750
F6 0.328 0.578 0.157
F7 0.422 0.078 0.750
F8 0.444 0.694 0.750
F9 0.556 0.306 0.250
F10 0.578 0.922 0.250
F11 0.672 0.422 0.843
F12 0.694 0.444 0.250
F13 0.806 0.056 0.750
F14 0.828 0.672 0.750
F15 0.922 0.172 0.343
F16 0.944 0.194 0.750